(1)
For NaHO, a structure optimized by DFT (PBE) gives the theoretical powder XRD pattern in this record (Cu Kα X-rays).
Peak positions follow from Bragg's law for the DFT cell and can differ from measured ones.

Atomic structure:
Cell: 3.3610 3.3610 3.3610 Å, 69.08 69.08 69.08°
Positions (direct):
Na 0.0000 0.0000 0.0000
H 0.5993 0.5993 0.5993
O 0.4718 0.4718 0.4718

Principal peaks in the range 2θ = 10–90°, by intensity:
- 2θ 36.00, I = 100
- 2θ 47.73, I = 43
- 2θ 55.70, I = 20
- 2θ 61.20, I = 16
- 2θ 81.12, I = 12
- 2θ 76.34, I = 6
- 2θ 88.96, I = 5
- 2θ 60.76, I = 5
- 2θ 29.49, I = 4
- 2θ 35.33, I = 3


(2)
For NaHO, a structure optimized by DFT (PBE) gives the theoretical powder XRD pattern in this record (Cu Kα X-rays).
Peak positions follow from Bragg's law for the DFT cell and can differ from measured ones.

Atomic structure:
Cell: 6.0282 6.0282 3.4196 Å, 90.00 90.00 146.92°
Positions (direct):
Na 0.1629 0.8371 0.7500
Na 0.8371 0.1629 0.2500
H 0.4488 0.5512 0.7500
H 0.5512 0.4488 0.2500
O 0.3646 0.6354 0.7500
O 0.6354 0.3646 0.2500

Principal peaks in the range 2θ = 10–90°, by intensity:
- 2θ 37.95, I = 100
- 2θ 30.95, I = 36
- 2θ 54.90, I = 33
- 2θ 15.33, I = 32
- 2θ 53.39, I = 12
- 2θ 53.60, I = 12
- 2θ 40.89, I = 10
- 2θ 47.18, I = 10
- 2θ 44.16, I = 7
- 2θ 35.02, I = 7


(3)
For NaH8O5, a structure optimized by DFT (PBE) gives the theoretical powder XRD pattern in this record (Cu Kα X-rays).
Peak positions follow from Bragg's law for the DFT cell and can differ from measured ones.

Atomic structure:
Cell: 7.9098 7.9098 11.5607 Å, 115.46 115.46 48.73°
Positions (direct):
Na 0.1941 0.2039 0.4320
Na 0.2039 0.1941 0.9320
Na 0.7961 0.8059 0.0680
Na 0.8059 0.7961 0.5680
H 0.0405 0.0862 0.6717
H 0.0862 0.0405 0.1717
H 0.0927 0.3818 0.6836
H 0.1165 0.7625 0.4947
H 0.1556 0.5973 0.9297
H 0.1791 0.6554 0.2866
H 0.2375 0.8835 0.0053
H 0.2634 0.4444 0.7042
H 0.2858 0.6796 0.6312
H 0.2948 0.5405 0.0713
H 0.3204 0.7142 0.8688
H 0.3446 0.8209 0.2134
H 0.3818 0.0927 0.1836
H 0.4027 0.8444 0.5703
H 0.4444 0.2634 0.2042
H 0.4595 0.7052 0.4287
H 0.5405 0.2948 0.5713
H 0.5556 0.7366 0.7958
H 0.5973 0.1556 0.4297
H 0.6182 0.9073 0.8164
H 0.6554 0.1791 0.7866
H 0.6796 0.2858 0.1312
H 0.7052 0.4595 0.9287
H 0.7142 0.3204 0.3688
H 0.7366 0.5556 0.2958
H 0.7625 0.1165 0.9947
H 0.8209 0.3446 0.7134
H 0.8444 0.4027 0.0703
H 0.8835 0.2375 0.5053
H 0.9073 0.6182 0.3164
H 0.9138 0.9595 0.8283
H 0.9595 0.9138 0.3283
O 0.0108 0.7509 0.2891
O 0.1234 0.8033 0.5888
O 0.1251 0.4463 0.6459
O 0.1661 0.5425 0.9948
O 0.1967 0.8766 0.9112
O 0.2491 0.9892 0.2109
O 0.4463 0.1251 0.1459
O 0.4575 0.8339 0.5052
O 0.4610 0.4988 0.2992
O 0.4988 0.4610 0.7992
O 0.5012 0.5390 0.2008
O 0.5390 0.5012 0.7008
O 0.5425 0.1661 0.4948
O 0.5537 0.8749 0.8541
O 0.7509 0.0108 0.7891
O 0.8033 0.1234 0.0888
O 0.8339 0.4575 0.0052
O 0.8749 0.5537 0.3541
O 0.8766 0.1967 0.4112
O 0.9892 0.2491 0.7109

Principal peaks in the range 2θ = 10–90°, by intensity:
- 2θ 33.31, I = 100
- 2θ 16.38, I = 89
- 2θ 34.93, I = 74
- 2θ 30.14, I = 68
- 2θ 35.28, I = 49
- 2θ 37.47, I = 44
- 2θ 25.07, I = 41
- 2θ 46.96, I = 38
- 2θ 32.03, I = 35
- 2θ 47.28, I = 34


(4)
For NaHO, a structure optimized by DFT (PBE) gives the theoretical powder XRD pattern in this record (Cu Kα X-rays).
Peak positions follow from Bragg's law for the DFT cell and can differ from measured ones.

Atomic structure:
Cell: 3.3805 3.6431 5.6492 Å, 90.00 100.19 90.00°
Positions (direct):
Na 0.0000 0.0000 0.0000
Na 0.1857 0.5000 0.5749
H 0.6066 0.5000 0.9307
H 0.6290 0.0000 0.4201
O 0.4342 0.5000 0.0512
O 0.7030 0.0000 0.5943

Principal peaks in the range 2θ = 10–90°, by intensity:
- 2θ 38.06, I = 100
- 2θ 32.20, I = 88
- 2θ 36.58, I = 59
- 2θ 42.11, I = 41
- 2θ 60.82, I = 37
- 2θ 52.86, I = 35
- 2θ 50.08, I = 28
- 2θ 15.94, I = 24
- 2θ 58.32, I = 23
- 2θ 54.72, I = 14


(5)
For NaHO, a structure optimized by DFT (PBE) gives the theoretical powder XRD pattern in this record (Cu Kα X-rays).
Peak positions follow from Bragg's law for the DFT cell and can differ from measured ones.

Atomic structure:
Cell: 4.4825 4.4825 3.3967 Å, 90.00 90.00 90.00°
Positions (direct):
Na 0.2500 0.7500 0.0000
Na 0.7500 0.2500 0.0000
H 0.2500 0.2500 0.4957
H 0.7500 0.7500 0.5043
O 0.2500 0.2500 0.7823
O 0.7500 0.7500 0.2177

Principal peaks in the range 2θ = 10–90°, by intensity:
- 2θ 40.24, I = 100
- 2θ 38.86, I = 64
- 2θ 26.24, I = 64
- 2θ 33.09, I = 55
- 2θ 48.67, I = 44
- 2θ 61.99, I = 37
- 2θ 58.21, I = 27
- 2θ 53.04, I = 20
- 2θ 64.93, I = 17
- 2θ 72.22, I = 16


(6)
For NaHO, a structure optimized by DFT (PBE) gives the theoretical powder XRD pattern in this record (Cu Kα X-rays).
Peak positions follow from Bragg's law for the DFT cell and can differ from measured ones.

Atomic structure:
Cell: 3.4543 3.4099 5.9081 Å, 90.00 105.80 90.00°
Positions (direct):
Na 0.1704 0.0000 0.3258
Na 0.8296 0.5000 0.6742
H 0.4467 0.9328 0.8956
H 0.5533 0.4328 0.1044
O 0.3496 0.0283 0.7344
O 0.6504 0.5283 0.2656

Principal peaks in the range 2θ = 10–90°, by intensity:
- 2θ 37.80, I = 100
- 2θ 38.03, I = 79
- 2θ 31.47, I = 64
- 2θ 15.59, I = 50
- 2θ 54.93, I = 30
- 2θ 55.81, I = 27
- 2θ 53.03, I = 22
- 2θ 53.77, I = 21
- 2θ 41.35, I = 20
- 2θ 63.64, I = 18


(7)
For NaHO, a structure optimized by DFT (PBE) gives the theoretical powder XRD pattern in this record (Cu Kα X-rays).
Peak positions follow from Bragg's law for the DFT cell and can differ from measured ones.

Atomic structure:
Cell: 3.4222 3.4391 5.9331 Å, 90.00 103.31 90.00°
Positions (direct):
Na 0.1814 0.2500 0.3248
Na 0.8186 0.7500 0.6752
H 0.4328 0.2500 0.8977
H 0.5672 0.7500 0.1023
O 0.3324 0.2500 0.7303
O 0.6676 0.7500 0.2697

Principal peaks in the range 2θ = 10–90°, by intensity:
- 2θ 37.60, I = 100
- 2θ 38.27, I = 59
- 2θ 30.98, I = 59
- 2θ 15.35, I = 49
- 2θ 53.65, I = 46
- 2θ 56.16, I = 24
- 2θ 53.27, I = 20
- 2θ 40.81, I = 17
- 2θ 47.23, I = 16
- 2θ 45.04, I = 12


(8)
For NaHO, a structure optimized by DFT (PBE) gives the theoretical powder XRD pattern in this record (Cu Kα X-rays).
Peak positions follow from Bragg's law for the DFT cell and can differ from measured ones.

Atomic structure:
Cell: 3.1940 5.9329 6.2812 Å, 90.00 90.00 90.00°
Positions (direct):
Na 0.1378 0.2500 0.0000
Na 0.1378 0.2500 0.5000
Na 0.8622 0.7500 0.0000
Na 0.8622 0.7500 0.5000
H 0.4480 0.5352 0.2500
H 0.4480 0.9648 0.7500
H 0.5520 0.0352 0.2500
H 0.5520 0.4648 0.7500
O 0.2946 0.5557 0.7500
O 0.2946 0.9443 0.2500
O 0.7054 0.0557 0.7500
O 0.7054 0.4443 0.2500

Principal peaks in the range 2θ = 10–90°, by intensity:
- 2θ 41.89, I = 100
- 2θ 43.18, I = 73
- 2θ 34.96, I = 51
- 2θ 54.60, I = 39
- 2θ 40.27, I = 37
- 2θ 41.55, I = 30
- 2θ 31.82, I = 26
- 2θ 58.80, I = 18
- 2θ 59.99, I = 16
- 2θ 33.41, I = 14